# LiMn2O4
Calculated XRD peak list, Cu Ka. Input: a structure optimized by DFT (GGA+U).

Most intense lines, 2θ = 15–90°, in order of falling intensity:
Position (°2θ), intensity
35.61, 100
18.21, 81
43.18, 47
30.05, 34
21.20, 32
62.95, 30
62.47, 27
56.93, 23
35.37, 17
18.38, 17
57.12, 14
66.13, 11

Structural model:
a b c (Å): 5.947 5.947 5.947
angles (deg): 59.55 59.55 59.55
Atoms (fractional coordinates):
Li 0.000 0.000 0.000
Li 0.385 0.385 0.385
Mn 0.385 0.385 0.891
Mn 0.385 0.891 0.385
Mn 0.768 0.768 0.768
Mn 0.891 0.385 0.385
O 0.137 0.137 0.594
O 0.137 0.594 0.137
O 0.149 0.149 0.149
O 0.182 0.631 0.631
O 0.594 0.137 0.137
O 0.625 0.625 0.625
O 0.631 0.182 0.631
O 0.631 0.631 0.182